# 1
Starting from the GGA-PBE geometry in Alexandria, the XRD peak list of Dy4Er6Sc was calculated for Cu Kα X-rays.
Kinematic intensities with the Lorentz-polarization factor, no thermal factor.

Atomic structure:
```
Dy4Er6Sc
1.0
2.775 -4.767 0.000
2.775 4.767 0.000
0.000 0.000 25.385
Dy Er Sc
8 12 2
direct
0.010 0.990 0.622 Dy
0.010 0.990 0.878 Dy
0.336 0.664 0.543 Dy
0.336 0.664 0.957 Dy
0.664 0.336 0.043 Dy
0.664 0.336 0.457 Dy
0.990 0.010 0.122 Dy
0.990 0.010 0.378 Dy
0.000 0.000 0.000 Er
0.000 0.000 0.500 Er
0.007 0.993 0.750 Er
0.325 0.675 0.107 Er
0.325 0.675 0.393 Er
0.341 0.659 0.683 Er
0.341 0.659 0.817 Er
0.659 0.341 0.183 Er
0.659 0.341 0.317 Er
0.675 0.325 0.607 Er
0.675 0.325 0.893 Er
0.993 0.007 0.250 Er
0.327 0.673 0.250 Sc
0.673 0.327 0.750 Sc
```

Most intense lines, 5 to 70 degrees two-theta, sorted by position:
| 2theta | d (Å) | I_rel |
| --- | --- | --- |
| 30.94 | 2.890 | 92.6 |
| 32.26 | 2.775 | 51.8 |
| 32.47 | 2.758 | 100.0 |
| 33.89 | 2.645 | 57.8 |
| 45.33 | 2.000 | 24.0 |
| 47.52 | 1.913 | 12.9 |
| 57.04 | 1.615 | 13.7 |
| 57.65 | 1.599 | 19.5 |
| 61.17 | 1.515 | 12.1 |
| 67.98 | 1.379 | 11.8 |



# 2
Starting from the GGA-PBE geometry in Alexandria, the XRD peak list of Ho2Tm6Th3 was calculated for Cu Kα X-rays.
Kinematic intensities with the Lorentz-polarization factor, no thermal factor.

Atomic structure:
```
Ho2Tm6Th3
1.0
3.054 -5.315 0.000
3.054 5.315 0.000
-2.176 0.000 11.162
Ho Tm Th
2 6 3
direct
0.164 0.836 0.000 Ho
0.836 0.164 0.000 Ho
0.088 0.420 0.749 Tm
0.247 0.247 0.254 Tm
0.420 0.088 0.749 Tm
0.580 0.912 0.251 Tm
0.753 0.753 0.746 Tm
0.912 0.580 0.251 Tm
0.000 0.000 0.500 Th
0.333 0.667 0.500 Th
0.667 0.333 0.500 Th
```

Most intense lines, 5 to 70 degrees two-theta, sorted by position:
| 2theta | d (Å) | I_rel |
| --- | --- | --- |
| 7.92 | 11.162 | 22.1 |
| 31.11 | 2.875 | 100.0 |
| 32.07 | 2.791 | 32.1 |
| 36.22 | 2.480 | 44.6 |
| 36.65 | 2.452 | 21.9 |
| 51.80 | 1.765 | 16.4 |
| 53.15 | 1.723 | 15.2 |
| 61.45 | 1.509 | 9.8 |
| 61.91 | 1.499 | 14.4 |
| 62.06 | 1.496 | 9.5 |



# 3
Starting from the GGA-PBE geometry in Alexandria, the XRD peak list of Sm5B4Rh15 was calculated for Cu Kα X-rays.
Kinematic intensities with the Lorentz-polarization factor, no thermal factor.

Atomic structure:
```
Sm5B4Rh15
1.0
4.239 0.000 0.000
0.000 4.239 0.000
0.000 0.000 20.727
Sm B Rh
5 4 15
direct
0.000 0.000 0.000 Sm
0.000 0.000 0.202 Sm
0.000 0.000 0.404 Sm
0.000 0.000 0.596 Sm
0.000 0.000 0.798 Sm
0.500 0.500 0.103 B
0.500 0.500 0.311 B
0.500 0.500 0.689 B
0.500 0.500 0.897 B
0.000 0.500 0.102 Rh
0.000 0.500 0.303 Rh
0.000 0.500 0.500 Rh
0.000 0.500 0.697 Rh
0.000 0.500 0.898 Rh
0.500 0.000 0.102 Rh
0.500 0.000 0.303 Rh
0.500 0.000 0.500 Rh
0.500 0.000 0.697 Rh
0.500 0.000 0.898 Rh
0.500 0.500 0.000 Rh
0.500 0.500 0.205 Rh
0.500 0.500 0.410 Rh
0.500 0.500 0.590 Rh
0.500 0.500 0.795 Rh
```

Most intense lines, 5 to 70 degrees two-theta, sorted by position:
| 2theta | d (Å) | I_rel |
| --- | --- | --- |
| 20.96 | 4.239 | 1.2 |
| 29.81 | 2.997 | 1.1 |
| 30.15 | 2.964 | 2.3 |
| 37.01 | 2.429 | 100.0 |
| 42.66 | 2.120 | 35.8 |
| 43.67 | 2.073 | 15.6 |
| 53.12 | 1.724 | 1.0 |
| 59.25 | 1.560 | 0.6 |
| 61.91 | 1.499 | 11.7 |
| 62.69 | 1.482 | 20.9 |



Copy entry 2 word for word.
Starting from the GGA-PBE geometry in Alexandria, the XRD peak list of Ho2Tm6Th3 was calculated for Cu Kα X-rays.
Kinematic intensities with the Lorentz-polarization factor, no thermal factor.

Atomic structure:
```
Ho2Tm6Th3
1.0
3.054 -5.315 0.000
3.054 5.315 0.000
-2.176 0.000 11.162
Ho Tm Th
2 6 3
direct
0.164 0.836 0.000 Ho
0.836 0.164 0.000 Ho
0.088 0.420 0.749 Tm
0.247 0.247 0.254 Tm
0.420 0.088 0.749 Tm
0.580 0.912 0.251 Tm
0.753 0.753 0.746 Tm
0.912 0.580 0.251 Tm
0.000 0.000 0.500 Th
0.333 0.667 0.500 Th
0.667 0.333 0.500 Th
```

Most intense lines, 5 to 70 degrees two-theta, sorted by position:
| 2theta | d (Å) | I_rel |
| --- | --- | --- |
| 7.92 | 11.162 | 22.1 |
| 31.11 | 2.875 | 100.0 |
| 32.07 | 2.791 | 32.1 |
| 36.22 | 2.480 | 44.6 |
| 36.65 | 2.452 | 21.9 |
| 51.80 | 1.765 | 16.4 |
| 53.15 | 1.723 | 15.2 |
| 61.45 | 1.509 | 9.8 |
| 61.91 | 1.499 | 14.4 |
| 62.06 | 1.496 | 9.5 |